For Sm2Zn3Sn, the PBE geometry in Alexandria gives the simulated powder XRD pattern in this record (Cu Kα X-rays).
No peak broadening, texture or thermal motion is included.

The 10 most intense peaks (10° ≤ 2θ ≤ 90°), by angle:
- 2θ = 22.40°, rel. 105
- 2θ = 32.91°, rel. 1000
- 2θ = 39.31°, rel. 568
- 2θ = 48.72°, rel. 102
- 2θ = 52.18°, rel. 269
- 2θ = 64.32°, rel. 260
- 2θ = 67.23°, rel. 247
- 2θ = 71.27°, rel. 95
- 2θ = 80.86°, rel. 73
- 2θ = 84.55°, rel. 60

Structure:
a b c (Å): 7.4756 9.1700 15.8757
angles (deg): 90.00 90.00 90.00
Space group Fmmm (No. 69)
Inequivalent atoms, fractional coordinates:
Sm 0.2426 0.0000 0.0000 x8
Sm 0.2500 0.2500 0.2500 x8
Zn 0.0000 0.0000 0.1615 x8
Zn 0.0000 0.2440 0.0798 x16
Sn 0.0000 0.0000 0.3344 x8